# CaDyV4O12
Theoretical X-ray diffraction stick pattern, Cu Kα, 1.54184 Å. Input: a structure optimized by DFT (PBE+U).
No peak broadening, texture or thermal motion is included.

Structure:
Unit cell a=7.507 b=7.416 c=7.481 alpha=90.00 beta=90.00 gamma=90.00
Space group Amm2 (No. 38)
Unique sites:
Ca  0.000  0.000  0.000
Dy  0.500  0.000  0.537
V  0.247  0.247  0.261
O  0.000  0.210  0.265
O  0.220  0.000  0.728
O  0.250  0.214  0.015
O  0.294  0.000  0.310
O  0.500  0.213  0.753

Most intense lines, 2θ from 15° to 90°, low angle first:
index  Position (°2θ)  d/Å  Rel. int.
0 1 1  16.83  5.267  26
1 1 1  20.60  4.312  100
2 0 2  33.83  2.649  34
2 2 0  34.01  2.636  78
3 1 1  39.89  2.260  19
1 3 1  40.26  2.240  17
4 0 0  48.51  1.877  18
0 0 4  48.69  1.870  16
0 4 0  49.14  1.854  16
2 4 2  60.99  1.519  16